# 1
# Cs2Hg5
Calculated XRD peak list, CuKα. Input: DFT lattice parameters and positions (GGA-PBE).
Lines closer than 0.1° are merged.

Top 10 peaks for 10° ≤ 2θ ≤ 90°, by angle:
d/Å, I (rel.)
5.440, 49
3.298, 84
3.278, 75
3.248, 86
2.936, 47
2.926, 80
2.870, 100
2.792, 59
2.049, 60
1.668, 32

Structural model:
```
14
Lattice="12.4713 0.0000 0.0000 0.0000 5.7398 0.0000 -1.9433 0.0000 7.6582" Properties=species:S:1:pos:R:3 pbc="T T T"
Cs 1.1450 0.0000 2.1547
Cs 3.1473 2.8699 5.5035
Cs 7.3807 2.8699 2.1547
Cs 9.3830 0.0000 5.5035
Hg -0.9717 2.8699 3.8291
Hg -0.5128 2.8699 6.9730
Hg 0.6482 0.0000 6.0944
Hg 3.6441 2.8699 1.5638
Hg 4.8052 0.0000 0.6852
Hg 5.2640 0.0000 3.8291
Hg 5.7228 0.0000 6.9730
Hg 6.8839 2.8699 6.0944
Hg 9.8798 0.0000 1.5638
Hg 11.0408 2.8699 0.6852
```

=====

# 2
# TiFe3Ni6
Calculated XRD peak list, CuKα. Input: DFT lattice parameters and positions (GGA-PBE).
Lines closer than 0.1° are merged.

Top 6 peaks for 10° ≤ 2θ ≤ 90°, by angle:
d/Å, I (rel.)
8.052, 1
2.075, 100
1.805, 15
1.792, 31
1.272, 17
1.267, 9

Structural model:
```
20
Lattice="8.0325 0.0000 0.0000 0.0000 3.5824 0.0000 -0.0421 0.0000 8.0621" Properties=species:S:1:pos:R:3 pbc="T T T"
Ti 0.4781 0.8956 3.0561
Ti 7.5122 2.6868 5.0060
Fe 2.0265 0.8956 0.0115
Fe 2.7536 2.6868 6.4409
Fe 3.5713 0.8956 4.8532
Fe 4.4190 2.6868 3.2089
Fe 5.2367 0.8956 1.6212
Fe 5.9639 2.6868 8.0506
Ni 0.3815 2.6868 7.3026
Ni 1.1547 0.8956 5.6604
Ni 1.2436 2.6868 1.5899
Ni 1.9932 2.6868 4.0309
Ni 2.8772 0.8956 2.4002
Ni 3.6308 2.6868 0.7943
Ni 4.3595 0.8956 7.2677
Ni 5.1132 2.6868 5.6619
Ni 5.9971 0.8956 4.0312
Ni 6.7468 0.8956 6.4722
Ni 6.8356 2.6868 2.4016
Ni 7.6088 0.8956 0.7594
```